No. 1
# Sm3GeIr3
Computed powder diffraction line list, Cu Kα (weighted mean of Kα1 and Kα2). Input: a cell relaxed with GGA-PBE.
Kinematic intensities with the Lorentz-polarization factor, no thermal factor.

Crystal structure
Cell lengths 10.585, 4.089, 14.895 Å; angles 90.00, 108.65, 90.00 degrees
Space group C2/m (No. 12)
Unique sites:
Sm  0.015  0.000  0.380
Sm  0.111  0.000  0.926
Sm  0.240  0.000  0.220
Ge  0.229  0.500  0.387
Ir  0.031  0.500  0.232
Ir  0.114  0.500  0.076
Ir  0.154  0.500  0.535

Most intense lines, 15° ≤ 2θ ≤ 90°, sorted by position:
Position (°2θ)  d/Å  I/Imax  (hkl)
32.1  2.790  46  1 1 3
32.5  2.752  100  1 1 -4
33.6  2.666  59  3 1 -1
33.9  2.645  32  4 0 -2
39.7  2.269  37  4 0 -5
40.0  2.256  68  3 1 2
44.3  2.045  46  0 2 0
65.9  1.418  27  7 1 -3

No. 2
# Rb6CdF8
Computed powder diffraction line list, Cu Kα (weighted mean of Kα1 and Kα2). Input: a cell relaxed with GGA-PBE.
Kinematic intensities with the Lorentz-polarization factor, no thermal factor.

Crystal structure
Cell lengths 8.2425, 8.2425, 16.5337 Å; angles 90.00, 90.00, 120.00 degrees
Space group R-3 (No. 148, hexagonal axes)
Unique sites:
Rb  0.0220  0.4038  0.4154
Cd  0.0000  0.0000  0.5000
F  0.0000  0.0000  0.1593
F  0.0109  0.2360  0.5796

Most intense lines, 15° ≤ 2θ ≤ 90°, sorted by position:
Position (°2θ)  d/Å  I/Imax  (hkl)
25.5  3.489  31  0 2 1
27.0  3.300  100  1 1 3
32.5  2.756  20  0 0 6
33.7  2.663  26  3 -1 1
35.0  2.565  25  3 -2 2
37.8  2.379  37  3 0 0
39.3  2.291  49  2 -1 6
43.3  2.090  20  3 -2 5

No. 3
# K3Sn2I7
Computed powder diffraction line list, Cu Kα (weighted mean of Kα1 and Kα2). Input: a cell relaxed with GGA-PBE.
Kinematic intensities with the Lorentz-polarization factor, no thermal factor.

Crystal structure
Cell lengths 6.243, 6.243, 30.096 Å; angles 90.00, 90.00, 90.00 degrees
Space group I4/mmm (No. 139)
Unique sites:
K  0.000  0.000  0.000
K  0.000  0.000  0.176
Sn  0.000  0.000  0.393
I  0.000  0.000  0.292
I  0.000  0.000  0.500
I  0.000  0.500  0.102

Most intense lines, 15° ≤ 2θ ≤ 90°, sorted by position:
Position (°2θ)  d/Å  I/Imax  (hkl)
23.4  3.807  48  1 1 4
26.9  3.314  35  1 1 6
28.6  3.121  100  2 0 0
29.7  3.010  36  0 0 10
30.3  2.948  36  1 0 9
40.9  2.207  38  2 2 0
41.7  2.167  58  2 0 10
51.3  1.780  32  2 2 10

No. 4
# CsPa2TcO8
Computed powder diffraction line list, Cu Kα (weighted mean of Kα1 and Kα2). Input: a cell relaxed with GGA-PBE.
Kinematic intensities with the Lorentz-polarization factor, no thermal factor.

Crystal structure
Cell lengths 9.151, 6.682, 7.792 Å; angles 90.00, 103.89, 90.00 degrees
Space group C2/m (No. 12)
Unique sites:
Cs  0.000  0.000  0.000
Pa  0.068  0.500  0.235
Tc  0.000  0.000  0.500
O  0.030  0.216  0.337
O  0.133  0.500  0.979
O  0.214  0.000  0.613

Most intense lines, 15° ≤ 2θ ≤ 90°, sorted by position:
Position (°2θ)  d/Å  I/Imax  (hkl)
18.9  4.693  39  1 1 -1
20.0  4.442  87  2 0 0
20.6  4.308  38  2 0 -1
26.7  3.341  65  0 2 0
26.8  3.321  100  1 1 -2
30.9  2.896  69  1 1 2
33.6  2.670  29  2 2 0
45.3  2.004  25  4 0 1

No. 5
# Ac2AsPd3
Computed powder diffraction line list, Cu Kα (weighted mean of Kα1 and Kα2). Input: a cell relaxed with GGA-PBE.
Kinematic intensities with the Lorentz-polarization factor, no thermal factor.

Crystal structure
Cell lengths 4.150, 4.513, 7.888 Å; angles 90.00, 90.00, 90.00 degrees
Space group Pmm2 (No. 25)
Unique sites:
Ac  0.000  0.000  0.000
Ac  0.000  0.500  0.495
As  0.500  0.500  0.821
Pd  0.500  0.000  0.333
Pd  0.500  0.000  0.680
Pd  0.500  0.500  0.144

Most intense lines, 15° ≤ 2θ ≤ 90°, sorted by position:
Position (°2θ)  d/Å  I/Imax  (hkl)
31.3  2.859  50  1 0 2
31.4  2.848  100  1 1 1
39.7  2.272  45  0 1 3
40.0  2.256  23  0 2 0
43.6  2.075  18  2 0 0
51.6  1.771  25  1 2 2
60.4  1.532  26  2 1 3
72.4  1.305  21  0 3 3

No. 6
# Ac3La2Sm2
Computed powder diffraction line list, Cu Kα (weighted mean of Kα1 and Kα2). Input: a cell relaxed with GGA-PBE.
Kinematic intensities with the Lorentz-polarization factor, no thermal factor.

Crystal structure
Cell lengths 5.736, 25.432, 3.782 Å; angles 90.00, 90.00, 90.00 degrees
Space group Cmmm (No. 65)
Unique sites:
Ac  0.000  0.000  0.000
Ac  0.000  0.153  0.000
La  0.000  0.426  0.500
Sm  0.000  0.285  0.500

Most intense lines, 15° ≤ 2θ ≤ 90°, sorted by position:
Position (°2θ)  d/Å  I/Imax  (hkl)
28.5  3.133  91  1 1 1
29.1  3.069  100  1 7 0
31.2  2.868  45  2 0 0
31.7  2.822  49  0 6 1
45.1  2.011  38  2 6 1
54.2  1.692  19  3 7 0
55.2  1.663  24  1 13 1
57.2  1.610  31  1 7 2

No. 7
# HgPb2S3
Computed powder diffraction line list, Cu Kα (weighted mean of Kα1 and Kα2). Input: a cell relaxed with GGA-PBE.
Kinematic intensities with the Lorentz-polarization factor, no thermal factor.

Crystal structure
Cell lengths 13.390, 6.158, 8.468 Å; angles 90.00, 114.15, 90.00 degrees
Space group C2/c (No. 15)
Unique sites:
Hg  0.000  0.019  0.250
Pb  0.165  0.481  0.080
S  0.000  0.477  0.250
S  0.156  0.019  0.038

Most intense lines, 15° ≤ 2θ ≤ 90°, sorted by position:
Position (°2θ)  d/Å  I/Imax  (hkl)
25.6  3.477  71  1 1 -2
26.2  3.397  65  3 1 0
29.0  3.084  100  4 0 -2
32.1  2.790  38  2 0 2
41.4  2.181  37  4 2 -2
43.8  2.067  30  2 2 2
52.7  1.738  17  2 2 -4
54.0  1.698  28  6 2 0

No. 8
# Nd2Dy9Ho3
Computed powder diffraction line list, Cu Kα (weighted mean of Kα1 and Kα2). Input: a cell relaxed with GGA-PBE.
Kinematic intensities with the Lorentz-polarization factor, no thermal factor.

Crystal structure
Cell lengths 17.012, 8.990, 6.234 Å; angles 90.00, 92.76, 90.00 degrees
Space group C2/m (No. 12)
Unique sites:
Nd  0.000  0.194  0.000
Dy  0.000  0.000  0.500
Dy  0.161  0.209  0.341
Dy  0.162  0.339  0.837
Ho  0.000  0.500  0.500
Ho  0.194  0.000  0.819

Most intense lines, 15° ≤ 2θ ≤ 90°, sorted by position:
Position (°2θ)  d/Å  I/Imax  (hkl)
26.3  3.384  76  2 2 -1
31.1  2.879  100  2 0 2
31.6  2.832  79  6 0 0
32.8  2.728  41  4 2 1
33.5  2.676  30  1 3 -1
33.7  2.658  46  1 3 1
34.9  2.571  63  4 0 -2
37.2  2.418  24  3 3 1